(1)
Calculated XRD peak list of AlCd for Cu Kα (weighted mean of Kα1 and Kα2), from a structure optimized by DFT (GGA-PBE).

Cell and atoms:
a b c (Å): 7.1747 7.1747 7.1747
angles (deg): 94.14 94.14 148.84
Element x y z (fractional)
Al  0.0844  0.3860  0.4704
Al  0.3860  0.9156  0.3016
Al  0.6140  0.0844  0.6984
Al  0.9156  0.6140  0.5296
Cd  0.1175  0.8188  0.9363
Cd  0.1812  0.1175  0.2987
Cd  0.8188  0.8825  0.7013
Cd  0.8825  0.1812  0.0637

Principal peaks in the range 10 to 90 degrees two-theta, low angle first:
| Position (°2θ) | intensity |
| --- | --- |
| 24.84 | 1000 |
| 28.89 | 702 |
| 36.10 | 553 |
| 36.78 | 281 |
| 40.69 | 672 |
| 41.31 | 336 |

=====

(2)
Calculated XRD peak list of Al6Cd for Cu Kα (weighted mean of Kα1 and Kα2), from a structure optimized by DFT (GGA-PBE).

Cell and atoms:
a b c (Å): 6.3771 6.3771 6.3771
angles (deg): 109.47 109.47 109.47
Element x y z (fractional)
Al  0.2500  0.5000  0.7500
Al  0.2500  0.7500  0.5000
Al  0.5000  0.2500  0.7500
Al  0.5000  0.7500  0.2500
Al  0.7500  0.2500  0.5000
Al  0.7500  0.5000  0.2500
Cd  0.0000  0.0000  0.0000

Principal peaks in the range 10 to 90 degrees two-theta, low angle first:
| Position (°2θ) | intensity |
| --- | --- |
| 17.03 | 219 |
| 24.17 | 427 |
| 29.72 | 1000 |
| 46.12 | 574 |
| 55.83 | 159 |
| 80.39 | 162 |